(1)
Simulated XRD peak list of BaSrInSbO6 for Cu Kα, 1.54184 Å, from a crystal structure in the Materials Project, relaxed with GGA-PBE.
No peak broadening, texture or thermal motion is included.

Atomic structure:
Lattice parameters (Å, degrees): 8.3234 8.3234 8.3234 90.00 90.00 90.00
Space group F-43m (No. 216)
Asymmetric unit:
Ba1 0.0000 0.0000 0.0000 x4
Sr1 0.0000 0.0000 0.5000 x4
In1 0.2500 0.2500 0.7500 x4
Sb1 0.2500 0.2500 0.2500 x4
O1 0.0094 0.2500 0.2500 x24

Top 10 peaks for 15 to 90 degrees two-theta, in order of rising 2θ:
d 4.806, 2θ 18.46, rel. 2, hkl 1 1 1; d 4.162, 2θ 21.35, rel. 2, hkl 2 0 0; d 2.943, 2θ 30.37, rel. 100, hkl 2 2 0; d 2.403, 2θ 37.43, rel. 1, hkl 2 2 2; d 2.081, 2θ 43.49, rel. 31, hkl 4 0 0; d 1.699, 2θ 53.97, rel. 40, hkl 4 2 2; d 1.471, 2θ 63.19, rel. 19, hkl 4 4 0; d 1.316, 2θ 71.72, rel. 17, hkl 6 2 0; d 1.201, 2θ 79.84, rel. 6, hkl 4 4 4; d 1.112, 2θ 87.75, rel. 21, hkl 6 4 2



(2)
Simulated XRD peak list of BaSr2ScInO6 for Cu Kα, 1.54184 Å, from a crystal structure in the Materials Project, relaxed with GGA-PBE.
No peak broadening, texture or thermal motion is included.

Atomic structure:
Lattice parameters (Å, degrees): 4.1587 4.1587 20.8461 90.00 90.00 90.00
Space group I4mm (No. 107)
Asymmetric unit:
Ba1 0.0000 0.0000 0.0000 x2
Sr1 0.0000 0.0000 0.1798 x2
Sr2 0.0000 0.0000 0.3634 x2
Sc1 0.0000 0.0000 0.5816 x2
In1 0.0000 0.0000 0.7792 x2
O1 0.0000 0.0000 0.4856 x2
O2 0.0000 0.0000 0.8792 x2
O3 0.0000 0.5000 0.1011 x4
O4 0.0000 0.5000 0.2608 x4

Top 10 peaks for 15 to 90 degrees two-theta, in order of rising 2θ:
d 5.212, 2θ 17.01, rel. 7, hkl 0 0 4; d 4.078, 2θ 21.79, rel. 7, hkl 1 0 1; d 2.943, 2θ 30.37, rel. 100, hkl 1 1 0; d 2.245, 2θ 40.18, rel. 9, hkl 1 1 6; d 2.079, 2θ 43.52, rel. 23, hkl 2 0 0; d 1.699, 2θ 53.97, rel. 34, hkl 2 1 5; d 1.471, 2θ 63.20, rel. 14, hkl 2 2 0; d 1.315, 2θ 71.77, rel. 12, hkl 3 1 0; d 1.112, 2θ 87.73, rel. 6, hkl 3 1 10; d 1.112, 2θ 87.81, rel. 6, hkl 3 2 5



(3)
Simulated XRD peak list of BaSr2In2O6 for Cu Kα, 1.54184 Å, from a crystal structure in the Materials Project, relaxed with GGA-PBE.
No peak broadening, texture or thermal motion is included.

Atomic structure:
Lattice parameters (Å, degrees): 4.1913 4.1913 21.0176 90.00 90.00 90.00
Space group I4mm (No. 107)
Asymmetric unit:
Ba1 0.0000 0.0000 0.0000 x2
Sr1 0.0000 0.0000 0.1836 x2
Sr2 0.0000 0.0000 0.3647 x2
In1 0.0000 0.0000 0.5839 x2
In2 0.0000 0.0000 0.7809 x2
O1 0.0000 0.0000 0.4821 x2
O2 0.0000 0.0000 0.8802 x2
O3 0.0000 0.5000 0.1054 x4
O4 0.0000 0.5000 0.2621 x4

Top 10 peaks for 15 to 90 degrees two-theta, in order of rising 2θ:
d 5.254, 2θ 16.87, rel. 6, hkl 0 0 4; d 2.966, 2θ 30.13, rel. 100, hkl 1 1 0; d 2.102, 2θ 43.04, rel. 6, hkl 0 0 10; d 2.096, 2θ 43.17, rel. 21, hkl 2 0 0; d 2.040, 2θ 44.41, rel. 5, hkl 1 0 9; d 1.713, 2θ 53.50, rel. 36, hkl 2 1 5; d 1.484, 2θ 62.60, rel. 7, hkl 2 0 10; d 1.482, 2θ 62.70, rel. 6, hkl 2 2 0; d 1.326, 2θ 71.12, rel. 12, hkl 3 1 0; d 1.121, 2θ 86.93, rel. 12, hkl 3 2 5



(4)
Simulated XRD peak list of BaSr2In6O12 for Cu Kα, 1.54184 Å, from a crystal structure in the Materials Project, relaxed with GGA-PBE.
No peak broadening, texture or thermal motion is included.

Atomic structure:
Lattice parameters (Å, degrees): 10.1245 10.1245 3.3546 90.00 90.00 120.00
Space group P3 (No. 143)
Asymmetric unit:
Ba1 0.0000 0.0000 0.0000 x1
Sr1 0.3333 0.6667 0.4125 x1
Sr2 0.6667 0.3333 0.9129 x1
In1 0.0011 0.3493 0.4147 x3
In2 0.3514 0.3495 0.9114 x3
O1 0.1056 0.8133 0.4136 x3
O2 0.1254 0.5224 0.9131 x3
O3 0.3062 0.1123 0.9143 x3
O4 0.5220 0.3985 0.4124 x3

Top 10 peaks for 15 to 90 degrees two-theta, in order of rising 2θ:
d 2.923, 2θ 30.59, rel. 100, hkl 3 0 0; d 2.796, 2θ 32.01, rel. 65, hkl 2 -1 1; d 2.358, 2θ 38.17, rel. 21, hkl 1 2 1; d 2.021, 2θ 44.86, rel. 34, hkl 2 2 1; d 1.969, 2θ 46.10, rel. 9, hkl 4 -1 1; d 1.687, 2θ 54.37, rel. 21, hkl 3 3 0; d 1.662, 2θ 55.27, rel. 32, hkl 5 -1 1; d 1.461, 2θ 63.68, rel. 12, hkl 6 0 0; d 1.455, 2θ 64.00, rel. 21, hkl 3 0 2; d 1.190, 2θ 80.79, rel. 11, hkl 3 3 2



(5)
Simulated XRD peak list of BaZrTiInO6 for Cu Kα, 1.54184 Å, from a crystal structure in the Materials Project, relaxed with GGA-PBE.
No peak broadening, texture or thermal motion is included.

Atomic structure:
Lattice parameters (Å, degrees): 8.1964 8.1964 8.1964 90.00 90.00 90.00
Space group F-43m (No. 216)
Asymmetric unit:
Ba1 0.0000 0.0000 0.0000 x4
Zr1 0.2500 0.2500 0.2500 x4
Ti1 0.2500 0.2500 0.7500 x4
In1 0.0000 0.0000 0.5000 x4
O1 0.0081 0.2500 0.7500 x24

Top 10 peaks for 15 to 90 degrees two-theta, in order of rising 2θ:
d 4.098, 2θ 21.69, rel. 4, hkl 2 0 0; d 2.898, 2θ 30.86, rel. 100, hkl 2 2 0; d 2.366, 2θ 38.03, rel. 13, hkl 2 2 2; d 2.049, 2θ 44.20, rel. 33, hkl 4 0 0; d 1.673, 2θ 54.87, rel. 39, hkl 4 2 2; d 1.449, 2θ 64.29, rel. 20, hkl 4 4 0; d 1.296, 2θ 73.01, rel. 17, hkl 6 2 0; d 1.236, 2θ 77.20, rel. 4, hkl 6 2 2; d 1.183, 2θ 81.33, rel. 7, hkl 4 4 4; d 1.095, 2θ 89.47, rel. 20, hkl 6 4 2



(6)
Simulated XRD peak list of Ba3UIn2O9 for Cu Kα, 1.54184 Å, from a crystal structure in the Materials Project, relaxed with GGA-PBE.
No peak broadening, texture or thermal motion is included.

Atomic structure:
Lattice parameters (Å, degrees): 6.0849 8.6290 18.3234 90.00 90.00 90.00
Space group Immm (No. 71)
Asymmetric unit:
Ba1 0.0000 0.2278 0.0000 x4
Ba2 0.0000 0.2627 0.3436 x8
U1 0.0000 0.5000 0.1681 x4
In1 0.0000 0.0000 0.1667 x4
In2 0.0000 0.0000 0.5000 x2
In3 0.0000 0.5000 0.5000 x2
O1 0.0000 0.2445 0.5000 x4
O2 0.0000 0.2578 0.1684 x8
O3 0.2426 0.5000 0.0877 x8
O4 0.2436 0.5000 0.2484 x8
O5 0.2492 0.5000 0.4147 x8

Top 10 peaks for 15 to 90 degrees two-theta, in order of rising 2θ:
d 4.979, 2θ 17.82, rel. 5, hkl 1 1 0; d 3.050, 2θ 29.28, rel. 100, hkl 1 2 3; d 3.042, 2θ 29.36, rel. 21, hkl 2 0 0; d 2.156, 2θ 41.90, rel. 34, hkl 2 0 6; d 1.762, 2θ 51.91, rel. 30, hkl 2 4 0; d 1.758, 2θ 52.02, rel. 16, hkl 3 2 3; d 1.525, 2θ 60.72, rel. 17, hkl 2 4 6; d 1.364, 2θ 68.83, rel. 16, hkl 3 2 9; d 1.153, 2θ 83.89, rel. 7, hkl 2 4 12; d 1.152, 2θ 84.03, rel. 8, hkl 4 4 6